No. 1
Pm8Si3CBr4: calculated X-ray powder pattern (λ = 1.5418 Å (Cu Kα)), based on the PBE geometry in Alexandria.

Cell and atoms:
abc: 8.2680 8.2680 22.0416
angles: 90.00 90.00 120.00
Space group R-3m (No. 166, hexagonal axes)
Asymmetric unit:
Pm1 0.0000 0.0000 0.2372 x6
Pm2 0.0265 0.5133 0.2323 x18
Si1 0.0000 0.5000 0.5000 x9
C1 0.0000 0.0000 0.5000 x3
Br1 0.0000 0.0000 0.0000 x3
Br2 0.0000 0.5000 0.0000 x9

Principal peaks in the range 2θ from 10° to 90°, low angle first:
- (2 0 2), 26.17°, 3.405 Å, rel. 30
- (0 2 4), 29.76°, 3.002 Å, rel. 100
- (2 0 5), 32.21°, 2.779 Å, rel. 24
- (0 0 9), 36.70°, 2.449 Å, rel. 12
- (2 0 8), 41.35°, 2.183 Å, rel. 27
- (2 2 0), 43.80°, 2.067 Å, rel. 37
- (4 0 4), 53.85°, 1.702 Å, rel. 17
- (2 2 9), 58.42°, 1.580 Å, rel. 17
- (0 2 13), 60.41°, 1.532 Å, rel. 11
- (2 4 4), 71.84°, 1.314 Å, rel. 13

No. 2
Pm2TmC2Br2: calculated X-ray powder pattern (λ = 1.5418 Å (Cu Kα)), based on the PBE geometry in Alexandria.

Cell and atoms:
abc: 4.490 4.490 15.538
angles: 90.00 90.00 90.00
Space group I4/mmm (No. 139)
Asymmetric unit:
Pm1 0.000 0.000 0.100 x4
Tm1 0.000 0.000 0.500 x2
C1 0.000 0.500 0.000 x4
Br1 0.000 0.000 0.310 x4

Principal peaks in the range 2θ from 10° to 90°, low angle first:
- (0 0 2), 11.39°, 7.769 Å, rel. 26
- (1 1 0), 28.10°, 3.175 Å, rel. 86
- (1 0 5), 35.12°, 2.555 Å, rel. 100
- (2 0 0), 40.16°, 2.245 Å, rel. 38
- (2 1 5), 54.40°, 1.687 Å, rel. 57
- (2 2 0), 58.10°, 1.588 Å, rel. 13
- (3 1 0), 65.77°, 1.420 Å, rel. 16
- (1 1 10), 67.05°, 1.396 Å, rel. 15
- (3 0 5), 69.74°, 1.348 Å, rel. 14
- (3 2 5), 83.66°, 1.156 Å, rel. 17